No. 1
Starting from a crystal structure in the Materials Project, relaxed with GGA-PBE, the powder diffraction line list of K3ScCl6 was calculated for copper Kα.
Neutral-atom scattering factors, no anomalous dispersion.

Cell and atoms:
```
K3ScCl6
1.0
0.000 5.462 5.462
5.462 0.000 5.462
5.462 5.462 0.000
K Sc Cl
3 1 6
Direct
0.000 0.000 0.000
0.250 0.250 0.250
0.750 0.750 0.750
0.500 0.500 0.500
0.272 0.272 0.728
0.272 0.728 0.272
0.272 0.728 0.728
0.728 0.272 0.272
0.728 0.272 0.728
0.728 0.728 0.272
```

Most intense lines, 2θ from 10° to 90°, sorted by position:
| 2θ/deg | intensity |
| --- | --- |
| 14.04 | 10.1 |
| 16.23 | 29.7 |
| 23.03 | 37.4 |
| 28.30 | 61.9 |
| 32.79 | 100.0 |
| 36.79 | 9.4 |
| 40.45 | 12.7 |
| 47.05 | 59.8 |
| 55.82 | 16.7 |
| 58.54 | 18.1 |
| 78.27 | 19.6 |
| 87.48 | 14.1 |

---

No. 2
Starting from a crystal structure in the Materials Project, relaxed with GGA-PBE, the powder diffraction line list of KSm2Cl5 was calculated for copper Kα.
Neutral-atom scattering factors, no anomalous dispersion.

Cell and atoms:
```
KSm2Cl5
1.0
8.659 0.000 0.000
0.000 7.124 0.000
-0.019 0.000 13.370
K Sm Cl
4 8 20
Direct
0.001 0.053 0.333
0.001 0.447 0.833
0.999 0.553 0.167
0.999 0.947 0.667
0.294 0.030 0.000
0.294 0.470 0.500
0.491 0.602 0.158
0.491 0.898 0.658
0.509 0.102 0.342
0.509 0.398 0.842
0.706 0.530 0.500
0.706 0.970 0.000
0.024 0.671 0.422
0.024 0.829 0.922
0.251 0.648 0.686
0.251 0.852 0.186
0.262 0.162 0.796
0.262 0.338 0.296
0.293 0.048 0.500
0.293 0.452 0.000
0.476 0.692 0.366
0.476 0.808 0.866
0.524 0.192 0.134
0.524 0.308 0.634
0.707 0.548 0.000
0.707 0.952 0.500
0.738 0.662 0.704
0.738 0.838 0.204
0.749 0.148 0.814
0.749 0.352 0.314
0.976 0.171 0.078
0.976 0.329 0.578
```

Most intense lines, 2θ from 10° to 90°, sorted by position:
| 2θ/deg | intensity |
| --- | --- |
| 10.22 | 100.0 |
| 23.55 | 59.4 |
| 24.49 | 30.2 |
| 24.98 | 74.3 |
| 33.25 | 55.2 |
| 33.87 | 72.0 |
| 34.19 | 17.8 |
| 35.28 | 34.9 |
| 40.48 | 20.2 |
| 41.70 | 54.7 |
| 42.55 | 18.7 |
| 48.15 | 19.6 |

---

No. 3
Starting from a crystal structure in the Materials Project, relaxed with GGA-PBE, the powder diffraction line list of KSm2Cl7 was calculated for copper Kα.
Neutral-atom scattering factors, no anomalous dispersion.

Cell and atoms:
```
KSm2Cl7
1.0
7.101 0.000 0.000
0.000 12.943 0.000
-0.126 0.000 13.589
K Sm Cl
4 8 28
Direct
0.239 0.202 0.463
0.239 0.298 0.963
0.761 0.702 0.037
0.761 0.798 0.537
0.227 0.659 0.753
0.227 0.841 0.253
0.278 0.537 0.263
0.278 0.963 0.763
0.722 0.037 0.237
0.722 0.463 0.737
0.773 0.159 0.747
0.773 0.341 0.247
0.016 0.678 0.328
0.016 0.822 0.828
0.038 0.058 0.630
0.038 0.442 0.130
0.046 0.088 0.877
0.046 0.412 0.377
0.243 0.685 0.111
0.243 0.815 0.611
0.444 0.525 0.866
0.444 0.975 0.366
0.476 0.576 0.620
0.476 0.924 0.120
0.499 0.704 0.325
0.499 0.796 0.825
0.501 0.204 0.175
0.501 0.296 0.675
0.524 0.076 0.880
0.524 0.424 0.380
0.556 0.025 0.634
0.556 0.475 0.134
0.757 0.185 0.389
0.757 0.315 0.889
0.954 0.588 0.623
0.954 0.912 0.123
0.962 0.558 0.870
0.962 0.942 0.370
0.984 0.178 0.172
0.984 0.322 0.672
```

Most intense lines, 2θ from 10° to 90°, sorted by position:
| 2θ/deg | intensity |
| --- | --- |
| 13.03 | 100.0 |
| 14.23 | 43.2 |
| 15.65 | 14.9 |
| 19.26 | 33.2 |
| 19.42 | 33.5 |
| 25.03 | 59.6 |
| 31.20 | 21.2 |
| 31.36 | 19.2 |
| 34.05 | 28.7 |
| 36.43 | 18.2 |
| 38.21 | 36.1 |
| 41.15 | 16.4 |

---

No. 4
Starting from a crystal structure in the Materials Project, relaxed with GGA-PBE, the powder diffraction line list of KSn2Cl5 was calculated for copper Kα.
Neutral-atom scattering factors, no anomalous dispersion.

Cell and atoms:
```
KSn2Cl5
1.0
-4.047 4.047 7.204
4.047 -4.047 7.204
4.047 4.047 -7.204
K Sn Cl
2 4 10
Direct
0.250 0.250 0.000
0.750 0.750 0.000
0.174 0.674 0.849
0.326 0.174 0.500
0.674 0.826 0.500
0.826 0.326 0.151
0.000 0.000 0.000
0.037 0.199 0.500
0.199 0.699 0.162
0.301 0.463 0.500
0.463 0.963 0.162
0.500 0.500 0.000
0.537 0.037 0.838
0.699 0.537 0.500
0.801 0.301 0.838
0.963 0.801 0.500
```

Most intense lines, 2θ from 10° to 90°, sorted by position:
| 2θ/deg | intensity |
| --- | --- |
| 12.29 | 79.0 |
| 21.96 | 16.9 |
| 25.24 | 23.3 |
| 25.37 | 23.7 |
| 30.94 | 100.0 |
| 31.26 | 14.3 |
| 35.06 | 34.1 |
| 39.99 | 38.9 |
| 49.42 | 10.8 |
| 50.21 | 31.6 |
| 56.74 | 17.9 |
| 63.12 | 10.8 |

---

No. 5
Starting from a crystal structure in the Materials Project, relaxed with GGA-PBE, the powder diffraction line list of K2Sn5Cl12 was calculated for copper Kα.
Neutral-atom scattering factors, no anomalous dispersion.

Cell and atoms:
```
K2Sn5Cl12
1.0
11.722 0.000 0.000
0.000 10.187 0.000
-5.729 0.000 10.479
K Sn Cl
4 10 24
Direct
0.000 0.000 0.000
0.025 0.500 0.022
0.307 0.000 0.907
0.628 0.500 0.686
0.120 0.000 0.490
0.159 0.500 0.489
0.385 0.500 0.885
0.435 0.245 0.288
0.435 0.755 0.288
0.500 0.000 0.639
0.724 0.288 0.143
0.724 0.712 0.143
0.852 0.230 0.575
0.852 0.770 0.575
0.097 0.264 0.580
0.097 0.736 0.580
0.156 0.500 0.842
0.192 0.000 0.321
0.220 0.232 0.089
0.220 0.768 0.089
0.226 0.500 0.311
0.440 0.257 0.524
0.440 0.743 0.524
0.475 0.000 0.211
0.479 0.500 0.131
0.496 0.230 0.925
0.496 0.770 0.925
0.651 0.000 0.535
0.696 0.000 0.852
0.703 0.500 0.999
0.734 0.500 0.498
0.869 0.289 0.785
0.869 0.711 0.785
0.876 0.000 0.343
0.908 0.234 0.106
0.908 0.766 0.106
0.916 0.500 0.329
0.997 0.000 0.705
```

Most intense lines, 2θ from 10° to 90°, sorted by position:
| 2θ/deg | intensity |
| --- | --- |
| 19.36 | 30.2 |
| 19.47 | 74.1 |
| 22.44 | 44.4 |
| 22.89 | 61.6 |
| 22.95 | 40.6 |
| 23.12 | 66.9 |
| 24.37 | 31.2 |
| 24.60 | 35.6 |
| 28.69 | 43.1 |
| 29.12 | 33.8 |
| 35.26 | 100.0 |
| 44.32 | 32.6 |

---

No. 6
Starting from a crystal structure in the Materials Project, relaxed with GGA-PBE, the powder diffraction line list of K3TaCl6 was calculated for copper Kα.
Neutral-atom scattering factors, no anomalous dispersion.

Cell and atoms:
```
K3TaCl6
1.0
0.000 5.433 5.433
5.433 0.000 5.433
5.433 5.433 0.000
K Ta Cl
3 1 6
Direct
0.000 0.000 0.000
0.250 0.250 0.250
0.750 0.750 0.750
0.500 0.500 0.500
0.273 0.273 0.727
0.273 0.727 0.273
0.273 0.727 0.727
0.727 0.273 0.273
0.727 0.273 0.727
0.727 0.727 0.273
```

Most intense lines, 2θ from 10° to 90°, sorted by position:
| 2θ/deg | intensity |
| --- | --- |
| 14.12 | 100.0 |
| 16.32 | 90.9 |
| 23.15 | 94.9 |
| 27.22 | 36.6 |
| 32.97 | 89.8 |
| 37.00 | 41.3 |
| 40.68 | 39.3 |
| 43.27 | 28.1 |
| 47.32 | 57.2 |
| 49.64 | 24.6 |
| 53.32 | 22.8 |
| 64.14 | 23.7 |

---

No. 7
Starting from a crystal structure in the Materials Project, relaxed with GGA-PBE, the powder diffraction line list of K2Ta3Cl9 was calculated for copper Kα.
Neutral-atom scattering factors, no anomalous dispersion.

Cell and atoms:
```
K2Ta3Cl9
1.0
5.114 -8.466 0.000
5.114 8.466 0.000
-4.121 0.000 8.827
K Ta Cl
4 6 18
Direct
0.050 0.729 0.674
0.271 0.950 0.326
0.729 0.050 0.674
0.950 0.271 0.326
0.282 0.453 0.862
0.382 0.382 0.127
0.453 0.282 0.862
0.547 0.718 0.138
0.618 0.618 0.873
0.718 0.547 0.138
0.003 0.392 0.680
0.098 0.305 0.986
0.182 0.182 0.671
0.232 0.232 0.284
0.295 0.705 0.000
0.305 0.098 0.986
0.380 0.584 0.685
0.392 0.003 0.680
0.416 0.620 0.315
0.584 0.380 0.685
0.608 0.997 0.320
0.620 0.416 0.315
0.695 0.902 0.014
0.705 0.295 0.000
0.768 0.768 0.716
0.818 0.818 0.329
0.902 0.695 0.014
0.997 0.608 0.320
```

Most intense lines, 2θ from 10° to 90°, sorted by position:
| 2θ/deg | intensity |
| --- | --- |
| 10.02 | 64.5 |
| 10.45 | 58.3 |
| 10.88 | 100.0 |
| 11.75 | 76.3 |
| 14.50 | 26.4 |
| 32.21 | 10.8 |
| 32.37 | 14.4 |
| 33.03 | 20.2 |
| 37.19 | 23.9 |
| 38.38 | 13.9 |
| 40.92 | 16.8 |
| 46.75 | 16.4 |

---

No. 8
Starting from a crystal structure in the Materials Project, relaxed with GGA-PBE, the powder diffraction line list of KTaCl6 was calculated for copper Kα.
Neutral-atom scattering factors, no anomalous dispersion.

Cell and atoms:
```
KTaCl6
1.0
6.147 -3.257 0.000
6.147 3.257 0.000
-2.611 0.000 12.267
K Ta Cl
2 2 12
Direct
0.118 0.882 0.750
0.882 0.118 0.250
0.000 0.500 0.000
0.500 0.000 0.500
0.107 0.201 0.540
0.198 0.372 0.841
0.201 0.107 0.040
0.299 0.538 0.105
0.372 0.198 0.341
0.462 0.701 0.395
0.538 0.299 0.605
0.628 0.802 0.659
0.701 0.462 0.895
0.799 0.893 0.960
0.802 0.628 0.159
0.893 0.799 0.460
```

Most intense lines, 2θ from 10° to 90°, sorted by position:
| 2θ/deg | intensity |
| --- | --- |
| 14.44 | 62.6 |
| 14.73 | 61.1 |
| 16.42 | 100.0 |
| 17.73 | 92.4 |
| 18.39 | 41.9 |
| 22.76 | 25.6 |
| 25.48 | 34.4 |
| 25.82 | 26.0 |
| 31.04 | 24.0 |
| 31.36 | 25.6 |
| 41.30 | 42.0 |
| 48.81 | 23.5 |

---

No. 9
Starting from a crystal structure in the Materials Project, relaxed with GGA-PBE, the powder diffraction line list of KTb2Cl7 was calculated for copper Kα.
Neutral-atom scattering factors, no anomalous dispersion.

Cell and atoms:
```
KTb2Cl7
1.0
6.976 0.000 0.000
0.000 12.673 0.000
-0.188 0.000 13.580
K Tb Cl
4 8 28
Direct
0.245 0.200 0.037
0.245 0.300 0.537
0.755 0.700 0.463
0.755 0.800 0.963
0.224 0.538 0.238
0.224 0.962 0.738
0.273 0.659 0.748
0.273 0.841 0.248
0.727 0.159 0.752
0.727 0.341 0.252
0.776 0.038 0.262
0.776 0.462 0.762
0.002 0.704 0.175
0.002 0.796 0.675
0.022 0.575 0.877
0.022 0.925 0.377
0.054 0.525 0.636
0.054 0.975 0.136
0.253 0.686 0.388
0.253 0.814 0.888
0.457 0.087 0.625
0.457 0.413 0.125
0.466 0.057 0.868
0.466 0.443 0.368
0.483 0.680 0.174
0.483 0.820 0.674
0.517 0.180 0.326
0.517 0.320 0.826
0.534 0.557 0.632
0.534 0.943 0.132
0.543 0.587 0.875
0.543 0.913 0.375
0.747 0.186 0.112
0.747 0.314 0.612
0.946 0.025 0.864
0.946 0.475 0.364
0.978 0.075 0.623
0.978 0.425 0.123
0.998 0.204 0.325
0.998 0.296 0.825
```

Most intense lines, 2θ from 10° to 90°, sorted by position:
| 2θ/deg | intensity |
| --- | --- |
| 13.04 | 100.0 |
| 14.50 | 40.8 |
| 19.42 | 30.7 |
| 19.66 | 31.8 |
| 25.51 | 55.4 |
| 31.57 | 19.0 |
| 31.80 | 17.8 |
| 34.55 | 25.3 |
| 36.69 | 15.4 |
| 37.22 | 13.1 |
| 38.91 | 15.5 |
| 39.04 | 15.2 |

---

No. 10
Starting from a crystal structure in the Materials Project, relaxed with GGA-PBE, the powder diffraction line list of K2TeCl6 was calculated for copper Kα.
Neutral-atom scattering factors, no anomalous dispersion.

Cell and atoms:
```
K2TeCl6
1.0
0.000 5.176 5.176
5.176 0.000 5.176
5.176 5.176 0.000
K Te Cl
2 1 6
Direct
0.250 0.250 0.250
0.750 0.750 0.750
0.000 0.000 0.000
0.248 0.248 0.752
0.248 0.752 0.248
0.248 0.752 0.752
0.752 0.248 0.248
0.752 0.248 0.752
0.752 0.752 0.248
```

Most intense lines, 2θ from 10° to 90°, sorted by position:
| 2θ/deg | intensity |
| --- | --- |
| 14.82 | 99.5 |
| 17.13 | 44.7 |
| 24.32 | 50.5 |
| 28.60 | 57.2 |
| 29.90 | 36.1 |
| 34.66 | 100.0 |
| 37.88 | 25.0 |
| 42.79 | 22.6 |
| 45.53 | 22.7 |
| 49.83 | 64.1 |
| 52.28 | 22.5 |
| 83.53 | 26.6 |